Starting from a GGA-PBE-relaxed structure, the powder X-ray diffraction pattern of Na3GaSi2GeSO12 was computed for λ = 1.5418 Å (Cu Kα).

Atomic structure:
Lattice parameters (Å, degrees): 15.163 8.841 8.997 90.00 125.58 90.00
Space group Cc (No. 9)
Symmetry-distinct sites (fractional):
Na1 0.000 0.066 0.000 (multiplicity 4)
Na2 0.062 0.260 0.748 (multiplicity 4)
Na3 0.131 0.431 0.488 (multiplicity 4)
Ga1 0.424 0.246 0.815 (multiplicity 4)
Si1 0.326 0.455 0.012 (multiplicity 4)
Si2 0.467 0.105 0.515 (multiplicity 4)
Ge1 0.225 0.277 0.197 (multiplicity 4)
S1 0.178 0.098 0.505 (multiplicity 4)
O1 0.071 0.303 0.028 (multiplicity 4)
O2 0.087 0.170 0.499 (multiplicity 4)
O3 0.172 0.067 0.021 (multiplicity 4)
O4 0.172 0.126 0.336 (multiplicity 4)
O5 0.235 0.356 0.019 (multiplicity 4)
O6 0.238 0.443 0.326 (multiplicity 4)
O7 0.274 0.170 0.668 (multiplicity 4)
O8 0.360 0.195 0.335 (multiplicity 4)
O9 0.401 0.438 0.689 (multiplicity 4)
O10 0.405 0.353 0.987 (multiplicity 4)
O11 0.475 0.136 0.699 (multiplicity 4)
O12 0.479 0.074 0.992 (multiplicity 4)

Main lines, by angle (2θ from 10° to 80°):
14.05°, I = 46, hkl 1 1 -1; 19.74°, I = 70, hkl 2 0 -2; 20.06°, I = 100, hkl 1 1 1; 20.24°, I = 85, hkl 3 1 -1; 23.48°, I = 71, hkl 0 2 1; 28.31°, I = 49, hkl 2 2 -2; 31.50°, I = 64, hkl 3 1 -3; 31.75°, I = 72, hkl 0 2 2; 32.19°, I = 65, hkl 3 1 1; 35.26°, I = 70, hkl 3 3 -1